Starting from a crystal structure in Alexandria, relaxed with PBE, the powder XRD pattern of TcSbO4 was computed for Cu Kα.
No peak broadening, texture or thermal motion is included.

Top 6 peaks for 2θ from 10° to 80°, by intensity:
2theta, intensity
29.00, 1000
28.56, 964
50.69, 456
56.39, 271
32.45, 262
62.51, 220

Structural model:
```
12
Lattice="1.9131 -7.5848 0.0000 1.9131 7.5848 0.0000 0.0000 0.0000 5.5186" Properties=species:S:1:pos:R:3 pbc="T T T"
Tc 1.9131 6.3297 4.1389
Tc 1.9131 -6.3297 1.3796
Sb 1.9131 2.9981 4.1389
Sb 1.9131 -2.9981 1.3796
O 0.0000 0.0000 0.0000
O 0.0000 0.0000 2.7593
O 1.9131 4.6994 2.8438
O 1.9131 4.6994 5.4341
O 1.9131 1.3501 1.3796
O 1.9131 -1.3501 4.1389
O 1.9131 -4.6994 0.0845
O 1.9131 -4.6994 2.6748
```